Record 1
The following is a calculated X-ray diffraction stick pattern of SmH9C5N2O8. It was derived from the PBE geometry in OQMD, using Cu Ka.
Kinematic intensities with the Lorentz-polarization factor, no thermal factor.

Structure:
Lattice parameters (Å, degrees): 6.6640 18.6646 8.4152 90.00 90.00 90.00
Space group C222_1 (No. 20)
Asymmetric unit:
Sm 0.0000 0.1425 0.2500 (multiplicity 4)
H 0.0000 0.3177 0.7500 (multiplicity 4)
H 0.0000 0.3465 0.2500 (multiplicity 4)
H 0.1592 0.4923 0.3270 (multiplicity 8)
H 0.2057 0.2868 0.0532 (multiplicity 8)
H 0.2355 0.4065 0.4006 (multiplicity 8)
H 0.2430 0.0000 0.5000 (multiplicity 4)
C 0.0000 0.3770 0.7500 (multiplicity 4)
C 0.0000 0.4052 0.2500 (multiplicity 4)
C 0.0769 0.0000 0.5000 (multiplicity 4)
C 0.2305 0.2420 0.9687 (multiplicity 8)
N 0.1398 0.4376 0.3337 (multiplicity 8)
O 0.0155 0.0513 0.0644 (multiplicity 8)
O 0.1646 0.4089 0.7760 (multiplicity 8)
O 0.1741 0.1801 0.0109 (multiplicity 8)
O 0.1856 0.2448 0.3372 (multiplicity 8)

Top 8 peaks for 15 to 90 degrees two-theta, low angle first:
h k l	two_theta	I (rel.)
1 1 1	17.63	100
1 3 0	19.52	28
0 0 2	21.11	20
0 4 2	28.57	35
1 3 2	28.91	31
2 2 1	30.40	33
2 4 2	39.56	24
1 7 2	42.36	25

Record 2
The following is a calculated X-ray diffraction stick pattern of TbH9C5N2O8. It was derived from the PBE geometry in OQMD, using Cu Ka.
Kinematic intensities with the Lorentz-polarization factor, no thermal factor.

Structure:
Lattice parameters (Å, degrees): 11.2426 7.0484 6.5038 90.00 110.32 90.00
Space group C2 (No. 5)
Asymmetric unit:
Tb 0.0000 0.0000 0.0000 (multiplicity 2)
H 0.0000 0.9158 0.5000 (multiplicity 2)
H 0.0083 0.5429 0.1762 (multiplicity 4)
H 0.1262 0.3722 0.4658 (multiplicity 4)
H 0.1861 0.3545 0.8772 (multiplicity 4)
H 0.2255 0.5676 0.5974 (multiplicity 4)
C 0.0000 0.0719 0.5000 (multiplicity 2)
C 0.0899 0.6153 0.2969 (multiplicity 4)
C 0.2390 0.2961 0.0421 (multiplicity 4)
N 0.1540 0.5104 0.4665 (multiplicity 4)
O 0.0061 0.1574 0.3318 (multiplicity 4)
O 0.1166 0.7846 0.2692 (multiplicity 4)
O 0.1460 0.8370 0.8671 (multiplicity 4)
O 0.1770 0.1898 0.1273 (multiplicity 4)

Top 8 peaks for 15 to 90 degrees two-theta, low angle first:
h k l	two_theta	I (rel.)
1 1 0	15.12	100
2 0 0	16.82	31
2 0 -1	18.02	25
1 1 -1	18.87	50
1 1 1	22.99	41
3 1 0	28.38	28
3 1 -2	34.00	22
2 2 1	36.50	26